The following is a theoretical powder diffraction line list of Np2Sn2Rh7. It was derived from a PBE-relaxed structure, using Cu Ka.
Lines closer than 0.1° are merged.

The 10 most intense peaks (2θ = 10–90°), low angle first:
2theta	I_rel
13.29	21
26.19	25
29.48	100
33.32	57
38.30	54
40.17	81
44.02	23
45.78	24
46.11	27
48.09	34

Crystal structure
```
Np2Sn2Rh7
1.0
4.5900 -3.4028 0.0000
4.5900 3.4028 0.0000
-1.4428 0.0000 6.6615
Np Sn Rh
2 2 7
direct
0.2487 0.2487 0.4024 Np
0.7513 0.7513 0.5976 Np
0.2304 0.7696 0.0000 Sn
0.7696 0.2304 0.0000 Sn
0.0000 0.0000 0.5000 Rh
0.0132 0.4185 0.7810 Rh
0.4185 0.0132 0.7810 Rh
0.4754 0.4754 0.7032 Rh
0.5246 0.5246 0.2968 Rh
0.5815 0.9868 0.2190 Rh
0.9868 0.5815 0.2190 Rh
```

---

The following is a theoretical powder diffraction line list of CuSn2TeS3. It was derived from a PBE-relaxed structure, using Cu Ka.
Lines closer than 0.1° are merged.

The 10 most intense peaks (2θ = 10–90°), low angle first:
2theta	I_rel
12.76	33
23.16	28
26.53	25
27.15	25
31.94	100
33.00	27
34.85	16
44.20	27
47.35	67
58.25	18

Crystal structure
```
CuSn2TeS3
1.0
3.8402 2.2171 6.9373
-3.8402 2.2171 6.9373
0.0000 -4.4343 6.9373
Cu Sn Te S
2 4 2 6
direct
0.0660 0.0660 0.0660 Cu
0.9340 0.9340 0.9340 Cu
0.0000 0.5000 0.5000 Sn
0.5000 0.0000 0.5000 Sn
0.5000 0.5000 0.0000 Sn
0.5000 0.5000 0.5000 Sn
0.2423 0.2423 0.2423 Te
0.7577 0.7577 0.7577 Te
0.2409 0.2409 0.7282 S
0.2409 0.7282 0.2409 S
0.2718 0.7591 0.7591 S
0.7282 0.2409 0.2409 S
0.7591 0.2718 0.7591 S
0.7591 0.7591 0.2718 S
```

---

The following is a theoretical powder diffraction line list of Ce4AlRu5. It was derived from a PBE-relaxed structure, using Cu Ka.
Lines closer than 0.1° are merged.

The 10 most intense peaks (2θ = 10–90°), low angle first:
2theta	I_rel
28.56	19
32.29	43
33.49	100
35.70	14
41.79	17
44.56	21
47.21	67
48.09	27
59.11	19
77.58	17

Crystal structure
```
Ce4AlRu5
1.0
-4.2311 4.2311 2.7721
4.2311 -4.2311 2.7721
4.2311 4.2311 -2.7721
Ce Al Ru
4 1 5
direct
0.0935 0.3019 0.3954 Ce
0.3019 0.9065 0.2085 Ce
0.6981 0.0935 0.7915 Ce
0.9065 0.6981 0.6046 Ce
0.6818 0.6818 0.0000 Al
0.1359 0.1359 0.0000 Ru
0.2124 0.5360 0.8152 Ru
0.3973 0.2124 0.6764 Ru
0.5360 0.7208 0.3236 Ru
0.7208 0.3973 0.1848 Ru
```

---

The following is a theoretical powder diffraction line list of HgH8Rh4. It was derived from a PBE-relaxed structure, using Cu Ka.
Lines closer than 0.1° are merged.

The 10 most intense peaks (2θ = 10–90°), low angle first:
2theta	I_rel
17.82	55
18.42	75
18.90	33
23.87	54
36.08	68
38.35	58
39.24	100
43.96	75
45.43	34
66.55	27

Crystal structure
```
HgH8Rh4
1.0
5.1684 0.0000 0.0000
-0.0129 5.6129 0.0000
-1.3034 -2.8088 4.6947
Hg H Rh
1 8 4
direct
0.0000 0.0000 0.0000 Hg
0.3164 0.3987 0.7980 H
0.3339 0.4250 0.2951 H
0.3337 0.8692 0.2948 H
0.3397 0.8769 0.7546 H
0.6603 0.1231 0.2454 H
0.6663 0.1308 0.7052 H
0.6661 0.5750 0.7049 H
0.6836 0.6013 0.2020 H
0.4661 0.2450 0.4903 Rh
0.5000 0.2486 0.0000 Rh
0.5000 0.7514 0.0000 Rh
0.5339 0.7550 0.5097 Rh
```